[1]
Calculated X-ray powder pattern of LaSbTeH for Cu Kα X-rays, from a structure optimized by DFT (GGA-PBE).

Crystal structure
a = 4.0466 Å, b = 4.8468 Å, c = 6.0690 Å
α = 112.14°, β = 108.97°, γ = 91.20°
Fractional coordinates of all 4 atoms:
La 0.0000 0.0000 0.0000
Sb 0.2410 0.6901 0.4792
Te 0.7584 0.2082 0.5150
H 0.5019 0.2186 0.9941

Most intense lines, 2θ = 5–70°, in order of rising 2θ:
2theta	I/Imax	hkl
23.6	70.9	1 0 -1
33.1	94.5	-1 1 1
33.4	92.5	1 -1 1
33.6	90.9	1 1 0
34.0	100.0	1 1 -2
34.2	87.5	0 0 2

[2]
Calculated X-ray powder pattern of Rb6Si2O7 for Cu Kα X-rays, from a structure optimized by DFT (GGA-PBE).

Crystal structure
a = 6.8531 Å, b = 9.3122 Å, c = 11.5088 Å
α = 90.00°, β = 125.40°, γ = 90.00°
Fractional coordinates of all 30 atoms:
Rb 0.0230 0.1470 0.4086
Rb 0.0230 0.3530 0.9086
Rb 0.2081 0.5273 0.4563
Rb 0.2081 0.9727 0.9563
Rb 0.3923 0.2210 0.2752
Rb 0.3923 0.2790 0.7752
Rb 0.6077 0.7210 0.2248
Rb 0.6077 0.7790 0.7248
Rb 0.7919 0.0273 0.0437
Rb 0.7919 0.4727 0.5437
Rb 0.9770 0.6470 0.0914
Rb 0.9770 0.8530 0.5914
Si 0.3327 0.6320 0.8783
Si 0.3327 0.8680 0.3783
Si 0.6673 0.1320 0.6217
Si 0.6673 0.3680 0.1217
O 0.0914 0.6564 0.8758
O 0.0914 0.8436 0.3758
O 0.2659 0.5790 0.7225
O 0.2659 0.9210 0.2225
O 0.4963 0.2232 0.0646
O 0.4963 0.2768 0.5646
O 0.5000 0.0000 0.5000
O 0.5000 0.5000 0.0000
O 0.5037 0.7232 0.4354
O 0.5037 0.7768 0.9354
O 0.7341 0.0790 0.7775
O 0.7341 0.4210 0.2775
O 0.9086 0.1564 0.6242
O 0.9086 0.3436 0.1242

Most intense lines, 2θ = 5–70°, in order of rising 2θ:
2theta	I/Imax	hkl
27.7	99.0	2 1 -2
29.2	90.8	2 1 -1
30.2	87.4	1 2 -3
30.3	100.0	0 3 1
32.7	82.6	2 0 -4
33.2	84.6	1 1 -4